Entry 1:
# RbGa12Sn6
Computed PXRD pattern, Cu Kα (weighted mean of Kα1 and Kα2). Input: DFT lattice parameters and positions (GGA-PBE).

Peak list (10 most intense, 10 to 90 degrees two-theta, low angle first)
two_theta  I/Imax
26.50  81
29.31  72
32.24  100
35.30  32
36.57  58
39.03  22
39.91  37
42.21  50
43.59  62
66.45  38

Atomic structure:
Lattice parameters (Å, degrees): 8.345 8.345 8.345 107.45 107.45 107.45
Fractional coordinates of all 19 atoms:
1 Rb 0.000 0.000 0.000
2 Ga 0.098 0.500 0.902
3 Ga 0.098 0.902 0.500
4 Ga 0.217 0.425 0.425
5 Ga 0.425 0.217 0.425
6 Ga 0.425 0.425 0.217
7 Ga 0.500 0.098 0.902
8 Ga 0.500 0.902 0.098
9 Ga 0.575 0.575 0.783
10 Ga 0.575 0.783 0.575
11 Ga 0.783 0.575 0.575
12 Ga 0.902 0.098 0.500
13 Ga 0.902 0.500 0.098
14 Sn 0.201 0.704 0.704
15 Sn 0.296 0.296 0.799
16 Sn 0.296 0.799 0.296
17 Sn 0.704 0.201 0.704
18 Sn 0.704 0.704 0.201
19 Sn 0.799 0.296 0.296

***

Entry 2:
# RbGa6Sn6
Computed PXRD pattern, Cu Kα (weighted mean of Kα1 and Kα2). Input: DFT lattice parameters and positions (GGA-PBE).

Peak list (10 most intense, 10 to 90 degrees two-theta, low angle first)
two_theta  I/Imax
16.28  75
23.11  42
25.88  24
28.40  100
36.92  20
40.59  67
44.01  61
47.22  43
69.01  28
83.24  26

Atomic structure:
Lattice parameters (Å, degrees): 7.699 7.699 7.699 90.00 90.00 90.00
Fractional coordinates of all 13 atoms:
1 Rb 0.000 0.000 0.000
2 Ga 0.000 0.249 0.500
3 Ga 0.000 0.751 0.500
4 Ga 0.249 0.500 0.000
5 Ga 0.500 0.000 0.249
6 Ga 0.500 0.000 0.751
7 Ga 0.751 0.500 0.000
8 Sn 0.000 0.500 0.252
9 Sn 0.000 0.500 0.748
10 Sn 0.252 0.000 0.500
11 Sn 0.500 0.252 0.000
12 Sn 0.500 0.748 0.000
13 Sn 0.748 0.000 0.500

***

Entry 3:
# Rb2Ga3Sn5
Computed PXRD pattern, Cu Kα (weighted mean of Kα1 and Kα2). Input: DFT lattice parameters and positions (GGA-PBE).

Peak list (10 most intense, 10 to 90 degrees two-theta, low angle first)
two_theta  I/Imax
15.55  16
29.05  100
29.18  43
34.76  79
40.15  42
43.39  16
46.00  24
49.97  28
58.86  34
65.95  20

Atomic structure:
Lattice parameters (Å, degrees): 5.162 5.162 11.399 90.00 90.00 90.00
Fractional coordinates of all 10 atoms:
1 Rb 0.000 0.500 0.240
2 Rb 0.500 0.000 0.760
3 Ga 0.000 0.000 0.000
4 Ga 0.000 0.500 0.893
5 Ga 0.500 0.000 0.107
6 Sn 0.000 0.000 0.500
7 Sn 0.000 0.500 0.642
8 Sn 0.500 0.000 0.358
9 Sn 0.500 0.500 0.000
10 Sn 0.500 0.500 0.500

***

Entry 4:
# Rb2Ga3Sn9
Computed PXRD pattern, Cu Kα (weighted mean of Kα1 and Kα2). Input: DFT lattice parameters and positions (GGA-PBE).

Peak list (10 most intense, 10 to 90 degrees two-theta, low angle first)
two_theta  I/Imax
11.69  30
27.34  37
28.15  61
28.68  100
29.78  71
31.09  29
32.93  34
33.28  37
34.41  35
35.51  45

Atomic structure:
Lattice parameters (Å, degrees): 8.750 8.750 13.707 105.28 105.28 61.22
Fractional coordinates of all 28 atoms:
1 Rb 0.101 0.239 0.250
2 Rb 0.239 0.101 0.750
3 Rb 0.761 0.899 0.250
4 Rb 0.899 0.761 0.750
5 Ga 0.000 0.500 0.000
6 Ga 0.028 0.743 0.504
7 Ga 0.257 0.972 0.996
8 Ga 0.500 0.000 0.500
9 Ga 0.743 0.028 0.004
10 Ga 0.972 0.257 0.496
11 Sn 0.112 0.810 0.073
12 Sn 0.190 0.888 0.427
13 Sn 0.225 0.568 0.234
14 Sn 0.226 0.402 0.564
15 Sn 0.340 0.490 0.936
16 Sn 0.373 0.627 0.750
17 Sn 0.402 0.226 0.064
18 Sn 0.432 0.775 0.266
19 Sn 0.490 0.340 0.436
20 Sn 0.510 0.660 0.564
21 Sn 0.568 0.225 0.734
22 Sn 0.598 0.774 0.936
23 Sn 0.627 0.373 0.250
24 Sn 0.660 0.510 0.064
25 Sn 0.774 0.598 0.436
26 Sn 0.775 0.432 0.766
27 Sn 0.810 0.112 0.573
28 Sn 0.888 0.190 0.927

***

Entry 5:
# RbGaSnTe3
Computed PXRD pattern, Cu Kα (weighted mean of Kα1 and Kα2). Input: DFT lattice parameters and positions (GGA-PBE).

Peak list (10 most intense, 10 to 90 degrees two-theta, low angle first)
two_theta  I/Imax
10.44  66
25.94  27
26.46  100
27.01  29
30.34  22
31.49  13
35.39  11
39.32  61
42.75  21
48.41  11

Atomic structure:
Lattice parameters (Å, degrees): 10.052 4.580 10.879 90.00 108.63 90.00
Fractional coordinates of all 12 atoms:
1 Rb 0.214 0.250 0.237
2 Rb 0.786 0.750 0.763
3 Ga 0.079 0.250 0.626
4 Ga 0.921 0.750 0.374
5 Sn 0.339 0.750 0.879
6 Sn 0.661 0.250 0.121
7 Te 0.100 0.250 0.868
8 Te 0.187 0.750 0.548
9 Te 0.466 0.750 0.163
10 Te 0.534 0.250 0.837
11 Te 0.813 0.250 0.452
12 Te 0.900 0.750 0.132

***

Entry 6:
# RbZnGaSn2
Computed PXRD pattern, Cu Kα (weighted mean of Kα1 and Kα2). Input: DFT lattice parameters and positions (GGA-PBE).

Peak list (10 most intense, 10 to 90 degrees two-theta, low angle first)
two_theta  I/Imax
19.58  25
25.60  34
29.31  100
29.92  69
36.51  90
40.41  55
42.98  31
47.49  53
52.59  31
57.64  26

Atomic structure:
Lattice parameters (Å, degrees): 4.922 4.922 11.638 90.00 90.00 90.00
Fractional coordinates of all 10 atoms:
1 Rb 0.000 0.000 0.000
2 Rb 0.500 0.500 0.500
3 Zn 0.000 0.500 0.250
4 Zn 0.500 0.000 0.750
5 Ga 0.000 0.500 0.750
6 Ga 0.500 0.000 0.250
7 Sn 0.000 0.000 0.373
8 Sn 0.000 0.000 0.627
9 Sn 0.500 0.500 0.127
10 Sn 0.500 0.500 0.873

***

Entry 7:
# Rb2Zn3GaSn4
Computed PXRD pattern, Cu Kα (weighted mean of Kα1 and Kα2). Input: DFT lattice parameters and positions (GGA-PBE).

Peak list (10 most intense, 10 to 90 degrees two-theta, low angle first)
two_theta  I/Imax
29.31  51
30.41  100
37.57  72
40.46  46
42.57  28
48.35  25
54.19  25
58.06  22
63.41  24
75.49  24

Atomic structure:
Lattice parameters (Å, degrees): 4.788 4.788 11.849 90.00 90.00 90.00
Fractional coordinates of all 10 atoms:
1 Rb 0.000 0.500 0.245
2 Rb 0.500 0.000 0.755
3 Zn 0.000 0.000 0.000
4 Zn 0.000 0.500 0.637
5 Zn 0.500 0.000 0.363
6 Ga 0.500 0.500 0.000
7 Sn 0.000 0.000 0.500
8 Sn 0.000 0.500 0.870
9 Sn 0.500 0.000 0.130
10 Sn 0.500 0.500 0.500

***

Entry 8:
# Rb3Tb3GaTe8
Computed PXRD pattern, Cu Kα (weighted mean of Kα1 and Kα2). Input: DFT lattice parameters and positions (GGA-PBE).

Peak list (10 most intense, 10 to 90 degrees two-theta, low angle first)
two_theta  I/Imax
27.01  100
33.31  21
35.85  32
41.15  36
42.44  8
44.34  14
49.91  18
53.90  9
55.69  9
66.61  15

Atomic structure:
Lattice parameters (Å, degrees): 8.775 8.775 10.230 115.43 115.43 60.00
Fractional coordinates of all 15 atoms:
1 Rb 0.000 0.000 0.000
2 Rb 0.000 0.500 0.000
3 Rb 0.500 0.000 0.000
4 Tb 0.000 0.500 0.500
5 Tb 0.500 0.000 0.500
6 Tb 0.500 0.500 0.500
7 Ga 0.000 0.000 0.500
8 Te 0.221 0.221 0.690
9 Te 0.223 0.744 0.691
10 Te 0.256 0.777 0.309
11 Te 0.266 0.266 0.298
12 Te 0.734 0.734 0.702
13 Te 0.744 0.223 0.691
14 Te 0.777 0.256 0.309
15 Te 0.779 0.779 0.310